# SrHg3
Calculated powder diffraction line list, Cu Ka. Input: a cell relaxed with GGA-PBE.
Peak positions follow from Bragg's law for the DFT cell and can differ from measured ones.

```
SrHg3
1.0
6.989 0.000 0.000
-3.495 6.053 0.000
0.000 0.000 5.371
Sr Hg
2 6
Direct
0.333 0.667 0.250
0.667 0.333 0.750
0.157 0.315 0.750
0.157 0.843 0.750
0.315 0.157 0.250
0.685 0.843 0.750
0.843 0.157 0.250
0.843 0.685 0.250
```

Most intense lines, 2θ from 5° to 70°, most intense first:
d = 2.637 Å, I = 1000; d = 3.026 Å, I = 239; d = 2.685 Å, I = 239; d = 1.465 Å, I = 213; d = 1.541 Å, I = 198; d = 1.747 Å, I = 189; d = 2.009 Å, I = 153; d = 1.457 Å, I = 153; d = 6.053 Å, I = 95; d = 2.105 Å, I = 61



# SrHg3
Calculated powder diffraction line list, Cu Ka. Input: a cell relaxed with GGA-PBE.
Peak positions follow from Bragg's law for the DFT cell and can differ from measured ones.

```
SrHg3
1.0
3.407 -6.277 0.000
3.407 6.277 0.000
0.000 0.000 5.337
Sr Hg
2 6
Direct
0.166 0.834 0.750
0.834 0.166 0.250
0.190 0.345 0.750
0.343 0.657 0.250
0.345 0.190 0.250
0.655 0.810 0.750
0.657 0.343 0.750
0.810 0.655 0.250
```

Most intense lines, 2θ from 5° to 70°, most intense first:
d = 2.612 Å, I = 1000; d = 2.705 Å, I = 564; d = 2.669 Å, I = 368; d = 2.995 Å, I = 244; d = 1.483 Å, I = 227; d = 1.783 Å, I = 206; d = 1.530 Å, I = 199; d = 1.993 Å, I = 167; d = 1.442 Å, I = 148; d = 3.138 Å, I = 132



# SrTlHg2
Calculated powder diffraction line list, Cu Ka. Input: a cell relaxed with GGA-PBE.
Peak positions follow from Bragg's law for the DFT cell and can differ from measured ones.

```
SrTlHg2
1.0
0.000 3.882 3.882
3.882 0.000 3.882
3.882 3.882 0.000
Sr Tl Hg
1 1 2
Direct
0.000 0.000 0.000
0.500 0.500 0.500
0.250 0.250 0.250
0.750 0.750 0.750
```

Most intense lines, 2θ from 5° to 70°, most intense first:
d = 2.745 Å, I = 1000; d = 1.585 Å, I = 391; d = 1.941 Å, I = 186; d = 1.372 Å, I = 122; d = 4.482 Å, I = 57; d = 2.341 Å, I = 34; d = 3.882 Å, I = 31; d = 1.781 Å, I = 15; d = 1.736 Å, I = 15; d = 1.494 Å, I = 12



# TbHg
Calculated powder diffraction line list, Cu Ka. Input: a cell relaxed with GGA-PBE.
Peak positions follow from Bragg's law for the DFT cell and can differ from measured ones.

```
TbHg
1.0
3.743 0.000 0.000
0.000 3.743 0.000
0.000 0.000 3.743
Tb Hg
1 1
Direct
0.000 0.000 0.000
0.500 0.500 0.500
```

Most intense lines, 2θ from 5° to 70°, most intense first:
d = 2.647 Å, I = 1000; d = 1.528 Å, I = 381; d = 1.872 Å, I = 183; d = 3.743 Å, I = 16; d = 1.674 Å, I = 8; d = 2.161 Å, I = 6



# TbHg3
Calculated powder diffraction line list, Cu Ka. Input: a cell relaxed with GGA-PBE.
Peak positions follow from Bragg's law for the DFT cell and can differ from measured ones.

```
TbHg3
1.0
6.665 0.000 0.000
-3.333 5.772 0.000
0.000 0.000 5.039
Tb Hg
2 6
Direct
0.333 0.667 0.250
0.667 0.333 0.750
0.166 0.332 0.750
0.166 0.834 0.750
0.332 0.166 0.250
0.668 0.834 0.750
0.834 0.166 0.250
0.834 0.668 0.250
```

Most intense lines, 2θ from 5° to 70°, most intense first:
d = 2.504 Å, I = 1000; d = 2.886 Å, I = 244; d = 2.519 Å, I = 226; d = 1.390 Å, I = 217; d = 1.666 Å, I = 197; d = 1.452 Å, I = 188; d = 1.387 Å, I = 162; d = 1.898 Å, I = 149; d = 1.443 Å, I = 31; d = 3.796 Å, I = 8



# Tb2TlHg
Calculated powder diffraction line list, Cu Ka. Input: a cell relaxed with GGA-PBE.
Peak positions follow from Bragg's law for the DFT cell and can differ from measured ones.

```
Tb2TlHg
1.0
0.000 3.779 3.779
3.779 0.000 3.779
3.779 3.779 0.000
Tb Tl Hg
2 1 1
Direct
0.250 0.250 0.250
0.750 0.750 0.750
0.000 0.000 0.000
0.500 0.500 0.500
```

Most intense lines, 2θ from 5° to 70°, most intense first:
d = 2.672 Å, I = 1000; d = 1.543 Å, I = 383; d = 1.889 Å, I = 184; d = 3.779 Å, I = 16; d = 1.690 Å, I = 8; d = 2.182 Å, I = 6



# TbYHg2
Calculated powder diffraction line list, Cu Ka. Input: a cell relaxed with GGA-PBE.
Peak positions follow from Bragg's law for the DFT cell and can differ from measured ones.

```
TbYHg2
1.0
0.000 3.741 3.741
3.741 0.000 3.741
3.741 3.741 0.000
Tb Y Hg
1 1 2
Direct
0.000 0.000 0.000
0.500 0.500 0.500
0.250 0.250 0.250
0.750 0.750 0.750
```

Most intense lines, 2θ from 5° to 70°, most intense first:
d = 2.645 Å, I = 1000; d = 1.527 Å, I = 379; d = 1.871 Å, I = 182; d = 3.741 Å, I = 63; d = 1.673 Å, I = 30; d = 4.320 Å, I = 23; d = 2.160 Å, I = 22; d = 2.256 Å, I = 14; d = 1.717 Å, I = 6



# HgTe
Calculated powder diffraction line list, Cu Ka. Input: a cell relaxed with GGA-PBE.
Peak positions follow from Bragg's law for the DFT cell and can differ from measured ones.

```
HgTe
1.0
0.000 3.330 3.330
3.330 0.000 3.330
3.330 3.330 0.000
Hg Te
1 1
Direct
0.000 0.000 0.000
0.250 0.250 0.250
```

Most intense lines, 2θ from 5° to 70°, most intense first:
d = 3.845 Å, I = 1000; d = 2.355 Å, I = 788; d = 2.008 Å, I = 523; d = 1.360 Å, I = 280; d = 1.528 Å, I = 219; d = 1.665 Å, I = 137; d = 3.330 Å, I = 53; d = 1.489 Å, I = 23; d = 1.923 Å, I = 17



# HgTe
Calculated powder diffraction line list, Cu Ka. Input: a cell relaxed with GGA-PBE.
Peak positions follow from Bragg's law for the DFT cell and can differ from measured ones.

```
HgTe
1.0
3.811 0.000 0.000
0.000 3.811 0.000
0.000 0.000 3.811
Hg Te
1 1
Direct
0.000 0.000 0.000
0.500 0.500 0.500
```

Most intense lines, 2θ from 5° to 70°, most intense first:
d = 2.695 Å, I = 1000; d = 1.556 Å, I = 382; d = 1.905 Å, I = 183; d = 1.347 Å, I = 119; d = 3.811 Å, I = 63; d = 1.704 Å, I = 31; d = 2.200 Å, I = 22



# HgTe
Calculated powder diffraction line list, Cu Ka. Input: a cell relaxed with GGA-PBE.
Peak positions follow from Bragg's law for the DFT cell and can differ from measured ones.

```
HgTe
1.0
2.993 -3.467 0.000
2.993 3.467 0.000
0.000 0.000 5.798
Hg Te
2 2
Direct
0.157 0.843 0.750
0.843 0.157 0.250
0.285 0.715 0.250
0.715 0.285 0.750
```

Most intense lines, 2θ from 5° to 70°, most intense first:
d = 2.976 Å, I = 1000; d = 2.993 Å, I = 952; d = 2.899 Å, I = 876; d = 2.110 Å, I = 771; d = 2.082 Å, I = 691; d = 3.467 Å, I = 482; d = 4.531 Å, I = 340; d = 2.265 Å, I = 305; d = 1.785 Å, I = 295; d = 2.224 Å, I = 289



# HgTe
Calculated powder diffraction line list, Cu Ka. Input: a cell relaxed with GGA-PBE.
Peak positions follow from Bragg's law for the DFT cell and can differ from measured ones.

```
HgTe
1.0
4.715 0.000 0.000
-2.358 4.084 0.000
0.000 0.000 10.414
Hg Te
3 3
Direct
0.000 0.329 0.167
0.329 0.000 0.833
0.671 0.671 0.500
0.000 0.482 0.667
0.482 0.000 0.333
0.518 0.518 0.000
```

Most intense lines, 2θ from 5° to 70°, most intense first:
d = 3.213 Å, I = 1000; d = 2.195 Å, I = 353; d = 3.802 Å, I = 301; d = 2.358 Å, I = 277; d = 1.527 Å, I = 166; d = 1.950 Å, I = 154; d = 1.398 Å, I = 126; d = 1.901 Å, I = 122; d = 2.004 Å, I = 103; d = 1.480 Å, I = 95